Entry 1:
ZrNi2N: simulated powder diffraction line list (a wavelength of 1.5418 Å), based on the PBE geometry in Alexandria.

The 12 most intense peaks (2θ from 15° to 90°), in order of falling intensity:
| d_spacing | I (rel.) |
| --- | --- |
| 2.264 | 100.0 |
| 2.216 | 33.4 |
| 2.432 | 16.1 |
| 1.972 | 15.6 |
| 1.583 | 13.6 |
| 1.289 | 12.0 |
| 1.272 | 10.4 |
| 3.010 | 10.4 |
| 1.638 | 8.9 |
| 1.656 | 8.8 |
| 1.109 | 7.1 |
| 1.326 | 7.0 |

Cell and atoms:
```
ZrNi2N
1.0
2.2163 -4.8638 0.0000
2.2163 4.8638 0.0000
0.0000 0.0000 4.5216
Zr Ni N
2 4 2
direct
0.2407 0.7593 0.5000
0.7593 0.2407 0.0000
0.0523 0.9477 0.9532
0.4517 0.5483 0.0931
0.5483 0.4517 0.5931
0.9477 0.0523 0.4532
0.2547 0.7453 0.9981
0.7453 0.2547 0.4981
```

***

Entry 2:
Zr6Ni2N: simulated powder diffraction line list (a wavelength of 1.5418 Å), based on the PBE geometry in Alexandria.

The 12 most intense peaks (2θ from 15° to 90°), in order of falling intensity:
| d_spacing | I (rel.) |
| --- | --- |
| 2.604 | 100.0 |
| 2.584 | 87.4 |
| 2.383 | 81.9 |
| 2.659 | 74.2 |
| 2.359 | 74.2 |
| 2.593 | 69.1 |
| 2.459 | 62.7 |
| 1.661 | 41.5 |
| 2.169 | 36.2 |
| 2.188 | 34.3 |
| 1.417 | 32.8 |
| 2.243 | 31.2 |

Cell and atoms:
```
Zr6Ni2N
1.0
5.4855 -1.6611 0.0000
5.4855 1.6611 0.0000
-0.2677 0.0000 8.9731
Zr Ni N
6 2 1
direct
0.0708 0.0708 0.2436
0.3647 0.3647 0.4434
0.3689 0.3689 0.0582
0.6311 0.6311 0.9418
0.6353 0.6353 0.5566
0.9292 0.9292 0.7564
0.2380 0.2380 0.7480
0.7620 0.7620 0.2520
0.0000 0.0000 0.0000
```

***

Entry 3:
Np2NO2: simulated powder diffraction line list (a wavelength of 1.5418 Å), based on the PBE geometry in Alexandria.

The 12 most intense peaks (2θ from 15° to 90°), in order of falling intensity:
| d_spacing | I (rel.) |
| --- | --- |
| 2.815 | 100.0 |
| 3.033 | 28.4 |
| 1.706 | 27.2 |
| 3.178 | 26.5 |
| 1.835 | 26.5 |
| 1.570 | 25.8 |
| 2.194 | 24.3 |
| 1.537 | 17.4 |
| 1.178 | 15.3 |
| 1.249 | 9.9 |
| 1.169 | 9.0 |
| 1.133 | 7.1 |

Cell and atoms:
```
Np2NO2
1.0
3.6696 0.0000 0.0000
-1.8348 3.1780 0.0000
0.0000 0.0000 6.0664
Np N O
2 1 2
direct
0.3333 0.6667 0.2640
0.6667 0.3333 0.7360
0.0000 0.0000 0.5000
0.3333 0.6667 0.8634
0.6667 0.3333 0.1366
```

***

Entry 4:
Np3PN5: simulated powder diffraction line list (a wavelength of 1.5418 Å), based on the PBE geometry in Alexandria.

The 12 most intense peaks (2θ from 15° to 90°), in order of falling intensity:
| d_spacing | I (rel.) |
| --- | --- |
| 2.774 | 100.0 |
| 2.804 | 66.3 |
| 2.249 | 52.6 |
| 3.478 | 43.6 |
| 1.558 | 39.8 |
| 2.661 | 38.3 |
| 2.055 | 29.4 |
| 2.299 | 26.1 |
| 1.627 | 23.5 |
| 1.472 | 21.0 |
| 1.717 | 18.7 |
| 1.739 | 18.5 |

Cell and atoms:
```
Np3PN5
1.0
-3.2499 3.2499 5.3219
3.2499 -3.2499 5.3219
3.2499 3.2499 -5.3219
Np P N
6 2 10
direct
0.1783 0.6783 0.8566
0.2500 0.2500 0.0000
0.3217 0.1783 0.5000
0.6783 0.8217 0.5000
0.7500 0.7500 0.0000
0.8217 0.3217 0.1434
0.2500 0.7500 0.5000
0.7500 0.2500 0.5000
0.0000 0.0000 0.0000
0.0125 0.7920 0.5000
0.2080 0.7080 0.2204
0.2920 0.5125 0.5000
0.4875 0.9875 0.7796
0.5000 0.5000 0.0000
0.5125 0.0125 0.2204
0.7080 0.4875 0.5000
0.7920 0.2920 0.7796
0.9875 0.2080 0.5000
```

***

Entry 5:
Sr2NpP2N6: simulated powder diffraction line list (a wavelength of 1.5418 Å), based on the PBE geometry in Alexandria.

The 12 most intense peaks (2θ from 15° to 90°), in order of falling intensity:
| d_spacing | I (rel.) |
| --- | --- |
| 2.873 | 100.0 |
| 3.191 | 78.3 |
| 2.766 | 70.7 |
| 4.767 | 63.3 |
| 2.135 | 44.1 |
| 1.554 | 34.6 |
| 1.993 | 28.2 |
| 1.714 | 28.0 |
| 1.637 | 27.5 |
| 4.270 | 25.1 |
| 1.659 | 19.9 |
| 1.436 | 17.3 |

Cell and atoms:
```
Sr2NpP2N6
1.0
2.8728 1.6586 5.5448
-2.8728 1.6586 5.5448
0.0000 -3.3173 5.5448
Sr Np P N
2 1 2 6
direct
0.2259 0.2259 0.2259
0.7741 0.7741 0.7741
0.0000 0.0000 0.0000
0.4345 0.4345 0.4345
0.5655 0.5655 0.5655
0.2522 0.2522 0.7287
0.2522 0.7287 0.2522
0.2713 0.7478 0.7478
0.7287 0.2522 0.2522
0.7478 0.2713 0.7478
0.7478 0.7478 0.2713
```

***

Entry 6:
Sr2NpPN5: simulated powder diffraction line list (a wavelength of 1.5418 Å), based on the PBE geometry in Alexandria.

The 12 most intense peaks (2θ from 15° to 90°), in order of falling intensity:
| d_spacing | I (rel.) |
| --- | --- |
| 2.514 | 100.0 |
| 3.352 | 81.5 |
| 4.447 | 60.8 |
| 3.389 | 54.6 |
| 5.705 | 46.3 |
| 2.708 | 44.7 |
| 3.216 | 37.6 |
| 2.787 | 36.4 |
| 2.046 | 35.4 |
| 2.317 | 33.1 |
| 1.738 | 25.0 |
| 2.647 | 20.9 |

Cell and atoms:
```
Sr2NpPN5
1.0
1.7244 -7.0984 0.0000
1.7244 7.0984 0.0000
0.0000 0.0000 11.4100
Sr Np P N
4 2 2 10
direct
0.0951 0.9049 0.5000
0.1340 0.8660 0.1760
0.8660 0.1340 0.6760
0.9049 0.0951 0.0000
0.1991 0.8009 0.8785
0.8009 0.1991 0.3785
0.4396 0.5604 0.2540
0.5604 0.4396 0.7540
0.0427 0.9573 0.8360
0.2944 0.7056 0.4907
0.3224 0.6776 0.2484
0.3336 0.6664 0.8515
0.4972 0.5028 0.1360
0.5028 0.4972 0.6360
0.6664 0.3336 0.3515
0.6776 0.3224 0.7484
0.7056 0.2944 0.9907
0.9573 0.0427 0.3360
```

***

Entry 7:
SrNpP2N6: simulated powder diffraction line list (a wavelength of 1.5418 Å), based on the PBE geometry in Alexandria.

The 12 most intense peaks (2θ from 15° to 90°), in order of falling intensity:
| d_spacing | I (rel.) |
| --- | --- |
| 4.751 | 100.0 |
| 4.949 | 88.4 |
| 3.294 | 87.9 |
| 2.630 | 79.9 |
| 3.550 | 60.3 |
| 2.685 | 47.5 |
| 1.639 | 34.0 |
| 1.997 | 32.4 |
| 2.359 | 32.2 |
| 3.845 | 29.7 |
| 3.121 | 29.4 |
| 2.871 | 26.7 |

Cell and atoms:
```
SrNpP2N6
1.0
5.1942 -5.0963 0.0000
5.1942 5.0963 0.0000
-1.6761 0.0000 5.2607
Sr Np P N
2 2 4 12
direct
0.0953 0.9047 0.7500
0.9047 0.0953 0.2500
0.2969 0.7031 0.2500
0.7031 0.2969 0.7500
0.2074 0.3648 0.8383
0.3648 0.2074 0.3383
0.6352 0.7926 0.6617
0.7926 0.6352 0.1617
0.0068 0.2582 0.7158
0.2006 0.5976 0.8866
0.2582 0.0068 0.2158
0.2952 0.3598 0.1496
0.3598 0.2952 0.6496
0.4024 0.7994 0.6134
0.5976 0.2006 0.3866
0.6402 0.7048 0.3504
0.7048 0.6402 0.8504
0.7418 0.9932 0.7842
0.7994 0.4024 0.1134
0.9932 0.7418 0.2842
```

***

Entry 8:
SrNp3P4N12: simulated powder diffraction line list (a wavelength of 1.5418 Å), based on the PBE geometry in Alexandria.

The 12 most intense peaks (2θ from 15° to 90°), in order of falling intensity:
| d_spacing | I (rel.) |
| --- | --- |
| 3.200 | 100.0 |
| 4.141 | 80.0 |
| 5.430 | 43.9 |
| 2.499 | 35.0 |
| 2.240 | 33.3 |
| 3.293 | 32.2 |
| 2.715 | 30.4 |
| 1.981 | 24.6 |
| 2.566 | 19.4 |
| 1.678 | 18.4 |
| 1.986 | 18.2 |
| 1.284 | 17.3 |

Cell and atoms:
```
SrNp3P4N12
1.0
5.4300 3.1350 2.9118
-5.4300 3.1350 2.9118
0.0000 -6.2701 2.9118
Sr Np P N
1 3 4 12
direct
0.0000 0.0000 0.0000
0.0000 0.5504 0.4496
0.4496 0.0000 0.5504
0.5504 0.4496 0.0000
0.0535 0.5000 0.9465
0.5000 0.5000 0.5000
0.5000 0.9465 0.0535
0.9465 0.0535 0.5000
0.0271 0.6256 0.7842
0.0940 0.9060 0.5000
0.2158 0.3744 0.9729
0.3542 0.6458 0.5000
0.3744 0.9730 0.2158
0.5000 0.0940 0.9060
0.5000 0.3542 0.6458
0.6256 0.7842 0.0271
0.6458 0.5000 0.3542
0.7842 0.0271 0.6256
0.9060 0.5000 0.0940
0.9729 0.2158 0.3744
```

***

Entry 9:
Th2NpPN5: simulated powder diffraction line list (a wavelength of 1.5418 Å), based on the PBE geometry in Alexandria.

The 12 most intense peaks (2θ from 15° to 90°), in order of falling intensity:
| d_spacing | I (rel.) |
| --- | --- |
| 2.879 | 100.0 |
| 2.645 | 60.6 |
| 3.627 | 44.8 |
| 2.821 | 38.8 |
| 2.053 | 34.5 |
| 2.994 | 29.9 |
| 2.117 | 28.9 |
| 1.693 | 23.0 |
| 2.367 | 21.4 |
| 1.520 | 21.0 |
| 1.640 | 19.9 |
| 1.813 | 19.2 |

Cell and atoms:
```
Th2NpPN5
1.0
6.6953 0.0000 0.0000
0.0000 6.6953 0.0000
0.0000 0.0000 5.6420
Th Np P N
4 2 2 10
direct
0.1783 0.3217 0.0000
0.3217 0.8217 0.0000
0.6783 0.1783 0.0000
0.8217 0.6783 0.0000
0.0000 0.0000 0.5000
0.5000 0.5000 0.5000
0.0000 0.5000 0.5000
0.5000 0.0000 0.5000
0.0000 0.0000 0.0000
0.1329 0.6329 0.2817
0.1329 0.6329 0.7183
0.3671 0.1329 0.2817
0.3671 0.1329 0.7183
0.5000 0.5000 0.0000
0.6329 0.8671 0.2817
0.6329 0.8671 0.7183
0.8671 0.3671 0.2817
0.8671 0.3671 0.7183
```

***

Entry 10:
Np2Pa2N7: simulated powder diffraction line list (a wavelength of 1.5418 Å), based on the PBE geometry in Alexandria.

The 12 most intense peaks (2θ from 15° to 90°), in order of falling intensity:
| d_spacing | I (rel.) |
| --- | --- |
| 3.040 | 100.0 |
| 3.141 | 99.7 |
| 2.676 | 83.3 |
| 1.893 | 56.9 |
| 1.634 | 30.1 |
| 1.591 | 27.7 |
| 1.219 | 16.1 |
| 1.198 | 16.0 |
| 1.608 | 15.8 |
| 1.623 | 15.4 |
| 1.938 | 15.1 |
| 1.845 | 13.8 |

Cell and atoms:
```
Np2Pa2N7
1.0
3.6907 -3.8770 0.0000
3.6907 3.8770 0.0000
0.0000 0.0000 5.3603
Np Pa N
2 2 7
direct
0.2318 0.7682 0.0000
0.7682 0.2318 0.0000
0.2395 0.2395 0.5000
0.7605 0.7605 0.5000
0.0000 0.0000 0.2504
0.0000 0.0000 0.7496
0.0000 0.5000 0.2529
0.0000 0.5000 0.7471
0.5000 0.0000 0.2529
0.5000 0.0000 0.7471
0.5000 0.5000 0.0000
```

***

Entry 11:
Np6Pa4N19: simulated powder diffraction line list (a wavelength of 1.5418 Å), based on the PBE geometry in Alexandria.

The 12 most intense peaks (2θ from 15° to 90°), in order of falling intensity:
| d_spacing | I (rel.) |
| --- | --- |
| 3.010 | 100.0 |
| 2.544 | 63.2 |
| 3.886 | 53.6 |
| 1.867 | 39.6 |
| 2.748 | 26.9 |
| 1.738 | 21.0 |
| 1.544 | 21.0 |
| 1.586 | 20.2 |
| 1.943 | 18.3 |
| 1.403 | 17.4 |
| 1.632 | 14.1 |
| 1.106 | 13.8 |

Cell and atoms:
```
Np6Pa4N19
1.0
-4.7590 4.7590 4.7590
4.7590 -4.7590 4.7590
4.7590 4.7590 -4.7590
Np Pa N
6 4 19
direct
0.1775 0.5000 0.6775
0.3225 0.8225 0.5000
0.5000 0.3225 0.8225
0.5000 0.6775 0.1775
0.6775 0.1775 0.5000
0.8225 0.5000 0.3225
0.0000 0.0000 0.2917
0.0000 0.2917 0.0000
0.2917 0.0000 0.0000
0.7083 0.7083 0.7083
0.0000 0.0000 0.0000
0.0000 0.3566 0.3566
0.0000 0.6434 0.6434
0.0331 0.7724 0.3558
0.2276 0.2607 0.5835
0.2607 0.5835 0.2276
0.3228 0.7393 0.9669
0.3558 0.0331 0.7724
0.3566 0.0000 0.3566
0.3566 0.3566 0.0000
0.4165 0.6772 0.6442
0.5835 0.2276 0.2607
0.6434 0.0000 0.6434
0.6434 0.6434 0.0000
0.6442 0.4165 0.6772
0.6772 0.6442 0.4165
0.7393 0.9669 0.3228
0.7724 0.3558 0.0331
0.9669 0.3228 0.7393
```

***

Entry 12:
NpPa2SiN5: simulated powder diffraction line list (a wavelength of 1.5418 Å), based on the PBE geometry in Alexandria.

The 12 most intense peaks (2θ from 15° to 90°), in order of falling intensity:
| d_spacing | I (rel.) |
| --- | --- |
| 2.815 | 100.0 |
| 2.586 | 66.1 |
| 3.544 | 52.3 |
| 2.751 | 40.5 |
| 2.005 | 38.6 |
| 2.930 | 33.7 |
| 2.072 | 32.3 |
| 1.655 | 25.4 |
| 1.487 | 23.1 |
| 2.316 | 21.0 |
| 1.376 | 20.4 |
| 1.600 | 19.7 |

Cell and atoms:
```
NpPa2SiN5
1.0
6.5519 0.0000 0.0000
0.0000 6.5519 0.0000
0.0000 0.0000 5.5015
Np Pa Si N
2 4 2 10
direct
0.0000 0.0000 0.0000
0.5000 0.5000 0.0000
0.1752 0.3248 0.5000
0.3248 0.8248 0.5000
0.6752 0.1752 0.5000
0.8248 0.6752 0.5000
0.0000 0.5000 0.0000
0.5000 0.0000 0.0000
0.0000 0.0000 0.5000
0.1413 0.6413 0.2337
0.1413 0.6413 0.7663
0.3587 0.1413 0.2337
0.3587 0.1413 0.7663
0.5000 0.5000 0.5000
0.6413 0.8587 0.2337
0.6413 0.8587 0.7663
0.8587 0.3587 0.2337
0.8587 0.3587 0.7663
```